Record 1
This entry pairs a crystal structure of LiY3P3O12 with its simulated powder X-ray diffraction pattern. Radiation: Cu Ka. Structure: a cell relaxed with PBE.
Intensities are scaled so that the largest is 100.

Top 12 peaks for 10° ≤ 2θ ≤ 80°, sorted by position:
2theta, intensity
14.65, 100
20.30, 30
25.58, 13
29.48, 57
29.68, 28
31.91, 67
38.42, 11
42.84, 10
47.23, 11
49.03, 14
49.24, 30
53.84, 16

Cell and atoms:
```
LiY3P3O12
1.0
3.5063 -6.0194 0.0000
3.5063 6.0194 0.0000
0.0000 0.0000 6.3323
Li Y P O
1 3 3 12
Cartesian
0.0000 0.0000 0.0000
1.7531 3.0097 5.2571
1.7531 -3.0097 1.0753
3.5063 0.0000 3.1662
1.7531 3.0097 2.1079
1.7531 -3.0097 4.2245
3.5063 0.0000 0.0000
2.9267 3.3468 1.1496
2.0575 1.8287 3.0676
2.6113 0.8301 5.3765
4.0858 3.3468 5.1827
2.6113 -0.8301 0.9558
2.0575 -1.8287 3.2648
4.9550 1.8287 3.2648
4.4012 0.8301 0.9558
2.9267 -3.3468 5.1827
4.4012 -0.8301 5.3765
4.9550 -1.8287 3.0676
4.0858 -3.3468 1.1496
```

=====

Record 2
This entry pairs a crystal structure of LiY3P3O12 with its simulated powder X-ray diffraction pattern. Radiation: Cu Ka. Structure: a cell relaxed with PBE.
Intensities are scaled so that the largest is 100.

Top 12 peaks for 10° ≤ 2θ ≤ 80°, sorted by position:
2theta, intensity
14.64, 100
14.91, 47
20.06, 29
25.82, 24
29.52, 47
30.08, 32
31.44, 77
32.61, 27
42.23, 16
49.09, 13
49.29, 12
54.30, 15

Cell and atoms:
```
LiY3P3O12
1.0
3.5161 -5.9409 0.0000
3.5161 5.9409 0.0000
-0.0310 0.0000 6.4780
Li Y P O
1 3 3 12
Cartesian
0.0000 0.0000 0.0000
2.2617 -0.4424 4.9419
4.7394 -0.4424 1.5361
3.5006 -3.5701 3.2390
1.4579 -0.6723 2.0518
3.5161 -3.4932 0.0000
5.5432 -0.6723 4.4262
0.8938 1.5371 5.6010
3.4148 4.9024 4.9559
3.5863 4.9024 1.5221
1.3985 0.5976 2.9737
2.4285 -0.3615 0.8642
2.0446 -1.8046 2.9466
2.7141 -2.6653 5.4180
4.5726 -0.3615 5.6138
6.1073 1.5371 0.8770
5.6027 0.5976 3.5043
4.2870 -2.6653 1.0600
4.9565 -1.8046 3.5314
```

=====

Record 3
This entry pairs a crystal structure of LiZnPO4 with its simulated powder X-ray diffraction pattern. Radiation: Cu Ka. Structure: a cell relaxed with PBE.
Intensities are scaled so that the largest is 100.

Top 12 peaks for 10° ≤ 2θ ≤ 80°, sorted by position:
2theta, intensity
12.76, 21
20.62, 33
21.81, 100
22.19, 25
25.68, 76
27.55, 19
31.82, 75
34.19, 71
39.14, 29
42.40, 17
49.29, 36
66.09, 40

Cell and atoms:
```
LiZnPO4
1.0
6.9379 4.0056 3.0766
-6.9379 4.0056 3.0766
0.0000 -8.0112 3.0766
Li Zn P O
6 6 6 24
Cartesian
-1.1939 -5.4552 3.0766
-4.1274 3.7616 3.0766
-2.7865 0.1443 4.5868
1.2682 -2.4854 4.5868
1.5183 2.3410 4.5868
5.3213 1.6937 3.0766
-5.7381 1.4526 4.5943
1.6110 -5.6957 4.5943
-1.5202 -2.3460 6.1472
-1.2716 2.4896 6.1472
2.7918 -0.1435 6.1472
4.1271 4.2430 4.5943
-5.4229 -1.6259 4.5863
-1.5465 -2.3600 3.0684
-1.2705 2.5193 3.0684
2.8170 -0.1594 3.0684
4.1196 -3.8834 4.5863
1.3034 5.5094 4.5863
-2.2108 -3.7647 3.0454
-4.7114 -0.2436 4.6081
-5.0208 -2.4485 5.8524
-0.0039 -2.5707 3.0676
-2.2243 1.2887 3.0676
-1.9313 -1.5912 4.3649
-0.3543 -5.5286 4.8865
-4.6107 3.0712 4.8865
-2.1550 3.7969 3.0454
2.5667 -3.9584 4.6081
2.2282 1.2820 3.0676
-0.4124 2.4682 4.3649
-2.3358 0.8405 6.3773
2.3437 -0.8770 4.3649
-2.2539 -1.3321 7.6669
0.4400 -2.4431 6.3773
4.3657 -0.0322 3.0454
2.1447 4.2020 4.6081
4.6308 -3.1239 5.8524
1.8958 1.6026 6.3773
0.3900 5.5724 5.8524
-0.0267 2.6180 7.6669
2.2806 -1.2859 7.6669
4.9651 2.4574 4.8865
```

=====

Record 4
This entry pairs a crystal structure of Li4ZnP2O8 with its simulated powder X-ray diffraction pattern. Radiation: Cu Ka. Structure: a cell relaxed with PBE.
Intensities are scaled so that the largest is 100.

Top 12 peaks for 10° ≤ 2θ ≤ 80°, sorted by position:
2theta, intensity
11.14, 32
14.03, 56
16.08, 29
20.42, 35
21.89, 83
22.37, 100
23.98, 69
32.51, 73
34.34, 29
34.52, 42
35.80, 52
60.57, 25

Cell and atoms:
```
Li4ZnP2O8
1.0
8.2101 0.0000 0.0000
0.0000 10.3935 0.0000
-2.0846 0.0000 7.9463
Li Zn P O
16 4 8 32
Cartesian
0.0971 0.7652 0.1186
-0.9116 7.5177 4.1638
-0.9559 8.4572 6.7354
0.1260 10.2616 2.7943
-0.6046 3.2454 7.2202
0.4324 5.0913 3.2514
1.6258 8.3457 4.7388
2.6674 0.0000 0.7980
3.4581 5.1968 7.1484
4.4998 3.1490 3.2075
6.7301 8.4422 0.7262
5.6931 10.2881 4.6950
5.9996 5.0649 5.1520
7.0815 3.2605 1.2109
7.0371 2.3209 3.7825
6.0284 5.9619 7.8277
1.9750 3.1844 5.2424
3.0369 5.1363 1.2639
3.0886 10.3331 6.6824
4.1505 8.3811 2.7039
1.2512 7.7165 1.7596
0.2296 0.6135 5.7537
1.6152 2.5424 2.2704
0.5719 5.8017 6.2388
5.5536 0.6049 1.7075
4.5104 7.7392 5.6759
5.8959 5.8102 2.1926
4.8743 2.5198 6.1867
0.3658 7.8284 0.4905
-0.6598 0.5450 4.4812
-0.7797 5.1473 6.6494
0.2657 3.1874 2.7113
0.5250 8.3096 3.0003
-0.4891 10.3742 6.9732
1.3788 1.0822 1.8244
0.3403 7.2641 5.7891
1.5359 6.1995 2.0100
0.5415 2.1091 6.0775
2.2292 3.3362 1.0761
1.2029 5.0051 5.0525
2.5753 8.5039 1.5070
1.5510 10.2292 5.4493
2.6263 2.6564 3.4614
1.5759 5.7172 7.4363
4.5496 0.5205 0.5100
3.4992 7.8532 4.4849
4.5745 5.0324 2.4970
3.5502 3.3072 6.4393
4.9226 10.2019 2.8938
3.8963 8.5329 6.8702
5.5840 7.3058 1.8688
4.5897 1.0028 5.9363
5.7852 2.0673 2.1572
4.7467 6.2789 6.1219
6.6146 5.1774 0.9731
5.6006 3.1128 4.9460
5.8598 8.3842 5.2350
6.9052 10.3441 1.2969
6.7853 5.7417 3.4651
5.7597 2.6316 7.4558
```

=====

Record 5
This entry pairs a crystal structure of LiZnPO4 with its simulated powder X-ray diffraction pattern. Radiation: Cu Ka. Structure: a cell relaxed with PBE.
Intensities are scaled so that the largest is 100.

Top 12 peaks for 10° ≤ 2θ ≤ 80°, sorted by position:
2theta, intensity
21.85, 100
21.99, 95
23.69, 16
28.20, 14
31.75, 32
33.07, 17
35.29, 29
35.65, 31
36.53, 21
43.90, 18
54.15, 14
61.13, 14

Cell and atoms:
```
LiZnPO4
1.0
10.1724 0.0000 0.0000
0.0000 5.0362 0.0000
0.0000 0.0000 6.7743
Li Zn P O
4 4 4 16
Cartesian
1.5611 0.9377 0.0000
3.5251 3.4558 3.3872
6.6473 1.5805 0.0000
8.6113 4.0986 3.3872
1.5727 0.9373 3.3826
3.5135 3.4554 6.7697
6.6589 1.5808 3.3826
8.5997 4.0989 6.7697
0.9612 3.4464 5.0759
4.1250 0.9283 1.6887
6.0474 4.1079 5.0759
9.2112 1.5898 1.6887
0.5482 1.2240 1.7104
1.1738 1.9034 5.0625
1.6167 4.0294 3.7886
1.6402 4.0282 6.3496
3.4460 1.5101 2.9625
3.4695 1.5112 0.4014
3.9124 4.4215 1.6753
4.5380 3.7421 5.0975
5.6344 1.2942 1.7104
6.2600 0.6147 5.0625
6.7029 3.5250 3.7886
6.7264 3.5261 6.3496
8.5322 1.0080 2.9625
8.5557 1.0069 0.4014
8.9986 3.1328 1.6753
9.6242 3.8123 5.0975
```